# LiAc2B10
Simulated powder XRD pattern, Cu Kα X-rays. Input: a DFT-relaxed cell (PBE, Alexandria).

Cell lengths 5.8878, 11.7120, 4.2745 Å; angles 90.00, 90.00, 90.00 degrees
Fractional positions:
Li: 0.0000 0.0000 0.0000
Li: 0.5000 0.5000 0.0000
Ac: 0.2099 0.3651 0.5000
Ac: 0.2901 0.8651 0.5000
Ac: 0.7099 0.1349 0.5000
Ac: 0.7901 0.6349 0.5000
B: 0.0713 0.1939 0.0000
B: 0.1130 0.5466 0.0000
B: 0.1274 0.6982 0.0000
B: 0.2292 0.1214 0.2996
B: 0.2292 0.1214 0.7004
B: 0.2708 0.6214 0.2996
B: 0.2708 0.6214 0.7004
B: 0.3726 0.1982 0.0000
B: 0.3870 0.0466 0.0000
B: 0.4287 0.6939 0.0000
B: 0.5713 0.3061 0.0000
B: 0.6130 0.9534 0.0000
B: 0.6274 0.8018 0.0000
B: 0.7292 0.3786 0.2996
B: 0.7292 0.3786 0.7004
B: 0.7708 0.8786 0.2996
B: 0.7708 0.8786 0.7004
B: 0.8726 0.3018 0.0000
B: 0.8870 0.4534 0.0000
B: 0.9287 0.8061 0.0000

Top 6 peaks for 2θ from 10° to 90°, in order of rising 2θ:
20.78°, I = 49
21.40°, I = 80
30.00°, I = 100
37.08°, I = 26
37.22°, I = 32
47.87°, I = 28

# Tb3Nd4Sm
Simulated powder XRD pattern, Cu Kα X-rays. Input: a DFT-relaxed cell (PBE, Alexandria).

Cell lengths 10.2772, 7.2566, 7.2531 Å; angles 90.00, 90.00, 90.00 degrees
Fractional positions:
Tb: 0.0000 0.0000 0.0000
Tb: 0.2500 0.2490 0.2500
Tb: 0.2500 0.7510 0.7500
Tb: 0.5000 0.0000 0.5000
Tb: 0.7500 0.2490 0.2500
Tb: 0.7500 0.7510 0.7500
Nd: 0.0000 0.0000 0.5000
Nd: 0.0000 0.5000 0.0000
Nd: 0.2500 0.2492 0.7500
Nd: 0.2500 0.7508 0.2500
Nd: 0.5000 0.0000 0.0000
Nd: 0.5000 0.5000 0.5000
Nd: 0.7500 0.2492 0.7500
Nd: 0.7500 0.7508 0.2500
Sm: 0.0000 0.5000 0.5000
Sm: 0.5000 0.5000 0.0000

Top 6 peaks for 2θ from 10° to 90°, in order of rising 2θ:
30.16°, I = 100
34.96°, I = 51
50.28°, I = 36
59.75°, I = 43
62.70°, I = 12
81.78°, I = 15

# LaMgH5
Simulated powder XRD pattern, Cu Kα X-rays. Input: a DFT-relaxed cell (PBE, Alexandria).

Cell lengths 6.6209, 6.6209, 4.9699 Å; angles 90.00, 90.00, 141.46 degrees
Fractional positions:
La: 0.1466 0.8534 0.7500
La: 0.8534 0.1466 0.2500
Mg: 0.4235 0.5765 0.7500
Mg: 0.5765 0.4235 0.2500
H: 0.1471 0.8529 0.2500
H: 0.2311 0.2311 0.0000
H: 0.2311 0.2311 0.5000
H: 0.3155 0.6845 0.0196
H: 0.3155 0.6845 0.4804
H: 0.6845 0.3155 0.5196
H: 0.6845 0.3155 0.9804
H: 0.7689 0.7689 0.0000
H: 0.7689 0.7689 0.5000
H: 0.8529 0.1471 0.7500

Top 6 peaks for 2θ from 10° to 90°, in order of rising 2θ:
22.86°, I = 70
28.11°, I = 100
28.56°, I = 26
29.62°, I = 51
45.62°, I = 26
47.39°, I = 38

# Fe2NiH
Simulated powder XRD pattern, Cu Kα X-rays. Input: a DFT-relaxed cell (PBE, Alexandria).

Cell lengths 2.5606, 2.5606, 6.4162 Å; angles 90.00, 90.00, 120.00 degrees
Fractional positions:
Fe: 0.0000 0.0000 0.0000
Fe: 0.3333 0.6667 0.6664
Ni: 0.6667 0.3333 0.3483
H: 0.3333 0.6667 0.1776

Top 6 peaks for 2θ from 10° to 90°, in order of rising 2θ:
42.26°, I = 35
43.16°, I = 100
50.00°, I = 64
72.76°, I = 19
74.05°, I = 18
89.14°, I = 21

> Number 1 is which compound?

LiAc2B10